Starting from a crystal structure in Alexandria, relaxed with GGA-PBE, the powder X-ray diffraction pattern of Cu2SiP4 was calculated for CuKα.
No peak broadening, texture or thermal motion is included.

Main lines, low angle first (10 to 90 degrees two-theta):
Position (°2θ)	d_spacing	intensity
23.95	3.716	66
30.03	2.976	100
32.68	2.740	66
39.69	2.271	83
49.03	1.858	51
51.72	1.767	47

Structural model:
```
Cu2SiP4
1.0
-7.0278 7.0278 2.3032
7.0278 -7.0278 2.3032
7.0278 7.0278 -2.3032
Cu Si P
8 4 16
direct
0.1753 0.3042 0.3513
0.1958 0.0470 0.8711
0.3240 0.6753 0.3711
0.4530 0.8240 0.1487
0.5470 0.1760 0.8513
0.6760 0.3247 0.6289
0.8042 0.9530 0.1289
0.8247 0.6958 0.6487
0.0000 0.0000 0.5000
0.0000 0.5000 0.0000
0.0000 0.5000 0.5000
0.5000 0.5000 0.0000
0.0420 0.2042 0.8753
0.1711 0.8332 0.3753
0.2533 0.9331 0.0166
0.2633 0.2467 0.1798
0.2958 0.6711 0.8378
0.3332 0.4580 0.6622
0.4165 0.2367 0.4834
0.4331 0.9165 0.6798
0.5669 0.0835 0.3202
0.5835 0.7633 0.5166
0.6668 0.5420 0.3378
0.7042 0.3289 0.1622
0.7367 0.7533 0.8202
0.7467 0.0669 0.9834
0.8289 0.1668 0.6247
0.9580 0.7958 0.1247
```


Starting from a crystal structure in Alexandria, relaxed with GGA-PBE, the powder X-ray diffraction pattern of Tb3SeS3 was calculated for CuKα.
No peak broadening, texture or thermal motion is included.

Main lines, low angle first (10 to 90 degrees two-theta):
Position (°2θ)	d_spacing	intensity
11.06	7.996	39
24.90	3.576	25
27.32	3.264	37
31.65	2.827	100
45.37	1.999	70
75.14	1.264	28

Structural model:
```
Tb3SeS3
1.0
-5.6542 5.6542 5.6542
5.6542 -5.6542 5.6542
5.6542 5.6542 -5.6542
Tb Se S
12 4 12
direct
0.2400 0.7500 0.2600
0.2400 0.9900 0.9800
0.2600 0.2400 0.7500
0.2600 0.5200 0.5100
0.5100 0.2600 0.5200
0.5100 0.7500 0.9900
0.5200 0.5100 0.2600
0.7500 0.2600 0.2400
0.7500 0.9900 0.5100
0.9800 0.2400 0.9900
0.9900 0.5100 0.7500
0.9900 0.9800 0.2400
0.0000 0.2500 0.5000
0.2500 0.2500 0.2500
0.2500 0.5000 0.0000
0.5000 0.0000 0.2500
0.0064 0.0128 0.7564
0.0064 0.4936 0.2500
0.0128 0.7564 0.0064
0.2500 0.0064 0.4936
0.2500 0.7436 0.7564
0.4872 0.4936 0.7436
0.4936 0.2500 0.0064
0.4936 0.7436 0.4872
0.7436 0.4872 0.4936
0.7436 0.7564 0.2500
0.7564 0.0064 0.0128
0.7564 0.2500 0.7436
```


Starting from a crystal structure in Alexandria, relaxed with GGA-PBE, the powder X-ray diffraction pattern of NaPuSe was calculated for CuKα.
No peak broadening, texture or thermal motion is included.

Main lines, low angle first (10 to 90 degrees two-theta):
Position (°2θ)	d_spacing	intensity
16.03	5.528	100
16.31	5.434	54
25.32	3.517	44
28.12	3.173	25
30.18	2.961	32
41.76	2.163	38

Structural model:
```
NaPuSe
1.0
5.5280 -4.9943 0.0000
5.5280 4.9943 0.0000
0.0000 0.0000 7.9921
Na Pu Se
4 4 4
direct
0.1875 0.1875 0.0000
0.3125 0.3125 0.5000
0.6875 0.6875 0.5000
0.8125 0.8125 0.0000
0.1377 0.8623 0.5824
0.3623 0.6377 0.0824
0.6377 0.3623 0.9176
0.8623 0.1377 0.4176
0.1058 0.8942 0.2253
0.3942 0.6058 0.7253
0.6058 0.3942 0.2747
0.8942 0.1058 0.7747
```


Starting from a crystal structure in Alexandria, relaxed with GGA-PBE, the powder X-ray diffraction pattern of Hf2Ge3Ru was calculated for CuKα.
No peak broadening, texture or thermal motion is included.

Main lines, low angle first (10 to 90 degrees two-theta):
Position (°2θ)	d_spacing	intensity
27.86	3.203	20
33.12	2.705	57
34.30	2.614	100
45.66	1.987	23
48.42	1.880	76
57.56	1.601	26

Structural model:
```
Hf2Ge3Ru
1.0
-1.9868 2.7051 5.2063
1.9868 -2.7051 5.2063
1.9868 2.7051 -5.2063
Hf Ge Ru
2 3 1
direct
0.1757 0.1757 0.0000
0.8243 0.8243 0.0000
0.0000 0.5000 0.5000
0.3518 0.8518 0.5000
0.6482 0.1482 0.5000
0.5000 0.5000 0.0000
```


Question: Which formula does entry 3 have?
Answer: NaPuSe